No. 1
The following is a calculated powder diffraction line list of ErTiFe11N. It was derived from a DFT-relaxed cell (GGA-PBE, the Materials Project), using a wavelength of 1.5418 Å.
Neutral-atom scattering factors, no anomalous dispersion.

Main lines, by intensity (2θ from 10° to 90°):
| two_theta | intensity |
| --- | --- |
| 42.34 | 100 |
| 43.35 | 90 |
| 42.48 | 55 |
| 29.86 | 43 |
| 41.93 | 37 |
| 36.50 | 26 |
| 36.73 | 25 |
| 48.50 | 25 |
| 71.24 | 23 |
| 37.66 | 21 |

Structure:
```
ErTiFe11N
1.0
-2.3888 4.3091 4.2737
2.3888 -4.3091 4.2737
2.3888 4.3091 -4.2737
Er Ti Fe N
1 1 11 1
Direct
0.0000 0.0000 0.0000
0.3717 0.3717 0.0000
0.0042 0.0056 0.4974
0.0042 0.5068 0.9986
0.2293 0.7293 0.5000
0.2320 0.5093 0.7226
0.3659 0.0069 0.3589
0.5082 0.0056 0.0014
0.5082 0.5068 0.5026
0.6480 0.0069 0.6411
0.6497 0.6497 0.0000
0.7809 0.2809 0.5000
0.7867 0.5093 0.2774
0.0054 0.5054 0.5000
```



No. 2
The following is a calculated powder diffraction line list of Cr2P. It was derived from a DFT-relaxed cell (GGA-PBE, the Materials Project), using a wavelength of 1.5418 Å.
Neutral-atom scattering factors, no anomalous dispersion.

Main lines, by intensity (2θ from 10° to 90°):
| two_theta | intensity |
| --- | --- |
| 40.80 | 100 |
| 43.52 | 76 |
| 39.58 | 73 |
| 43.82 | 66 |
| 45.02 | 56 |
| 45.64 | 44 |
| 46.73 | 33 |
| 48.70 | 28 |
| 56.16 | 27 |
| 50.89 | 25 |

Structure:
```
Cr2P
1.0
-3.2756 5.1062 3.1668
3.2756 -5.1062 3.1668
3.2756 5.1062 -3.1668
Cr P
12 6
Direct
0.0000 0.0000 0.0000
0.1037 0.3158 0.7879
0.1848 0.8997 0.2851
0.2910 0.5861 0.2951
0.2910 0.9959 0.7049
0.5279 0.3158 0.2121
0.5513 0.4681 0.6664
0.5513 0.8849 0.0832
0.6147 0.8997 0.7149
0.8017 0.4681 0.9168
0.8017 0.8849 0.3336
0.9218 0.4218 0.5000
0.2130 0.3205 0.4374
0.2130 0.7756 0.8926
0.4689 0.4689 0.0000
0.5752 0.0752 0.5000
0.8830 0.3205 0.1074
0.8830 0.7756 0.5626
```